# 1
For Pu3Zr3WN8, the PBE geometry in Alexandria gives the theoretical powder diffractogram in this record (λ = 1.5418 Å (Cu Kα)).

The 12 most intense peaks (2θ = 10–80°), sorted by position:
h k l  Position (°2θ)  I/Imax
1 0 1  16.56  52.7
0 1 5  31.27  10.7
1 1 3  31.83  20.9
0 0 6  32.40  36.5
2 0 2  33.48  100.0
0 2 4  38.54  98.3
2 0 8  54.92  34.3
2 2 0  56.35  32.0
0 2 10  65.23  16.1
2 2 6  66.52  30.1
0 4 2  67.16  14.6
4 0 4  70.35  16.3

Crystal structure
abc: 6.5311 6.5311 16.5810
angles: 90.00 90.00 120.00
Space group R-3m (No. 166, hexagonal axes)
One atom of each set of equivalent atoms:
Pu  0.0000  0.5000  0.0000 (multiplicity 9)
Zr  0.0000  0.5000  0.5000 (multiplicity 9)
W  0.0000  0.0000  0.5000 (multiplicity 3)
N  0.0000  0.0000  0.2435 (multiplicity 6)
N  0.0224  0.5112  0.2403 (multiplicity 18)

# 2
For PuZn2N3, the PBE geometry in Alexandria gives the theoretical powder diffractogram in this record (λ = 1.5418 Å (Cu Kα)).

The 12 most intense peaks (2θ = 10–80°), sorted by position:
h k l  Position (°2θ)  I/Imax
1 1 1  16.72  35.9
0 2 2  19.52  30.7
1 3 1  21.15  37.5
1 5 1  28.07  20.6
2 0 2  32.51  50.3
0 6 2  32.64  100.0
2 4 0  33.05  43.5
2 2 2  33.80  69.3
0 0 4  34.88  36.5
2 4 4  48.81  39.4
2 10 2  58.02  20.6
0 6 6  61.11  24.1

Crystal structure
abc: 6.5288 19.4591 10.2885
angles: 90.00 90.00 90.00
Space group Fdd2 (No. 43)
One atom of each set of equivalent atoms:
Pu  0.0923  0.1780  0.0000 (multiplicity 16)
Zn  0.0000  0.0000  0.0109 (multiplicity 8)
Zn  0.0000  0.0000  0.4876 (multiplicity 8)
Zn  0.0712  0.1648  0.4881 (multiplicity 16)
N  0.0004  0.2457  0.6231 (multiplicity 16)
N  0.0585  0.0843  0.6097 (multiplicity 16)
N  0.0685  0.0833  0.1237 (multiplicity 16)

# 3
For PuZn4N4, the PBE geometry in Alexandria gives the theoretical powder diffractogram in this record (λ = 1.5418 Å (Cu Kα)).

The 12 most intense peaks (2θ = 10–80°), sorted by position:
h k l  Position (°2θ)  I/Imax
1 1 1  19.89  42.6
0 0 2  24.78  29.9
0 2 1  27.28  25.9
1 1 2  29.39  68.8
3 1 0  32.12  29.1
2 2 1  33.84  42.9
3 1 1  34.52  100.0
0 2 2  34.95  53.5
1 3 0  38.10  40.3
3 1 3  50.23  38.0
0 0 4  50.83  24.5
3 3 2  54.65  30.1

Crystal structure
abc: 9.0372 7.3418 7.1849
angles: 90.00 90.00 90.00
Space group Cmcm (No. 63)
One atom of each set of equivalent atoms:
Pu  0.0000  0.1649  0.2500 (multiplicity 4)
Zn  0.1459  0.2265  0.7500 (multiplicity 8)
Zn  0.1566  0.5000  0.0000 (multiplicity 8)
N  0.0000  0.2780  0.5259 (multiplicity 8)
N  0.2321  0.0267  0.2500 (multiplicity 8)

# 4
For PuZr2N3, the PBE geometry in Alexandria gives the theoretical powder diffractogram in this record (λ = 1.5418 Å (Cu Kα)).

The 12 most intense peaks (2θ = 10–80°), sorted by position:
h k l  Position (°2θ)  I/Imax
0 0 2  12.52  26.7
0 0 4  25.19  8.2
1 0 1  27.50  22.1
1 0 3  32.92  100.0
1 1 0  38.19  73.9
1 1 2  40.35  7.3
1 0 5  41.89  6.0
1 1 4  46.30  6.9
1 0 7  53.01  5.1
2 0 0  55.12  49.6
2 1 3  65.71  43.4
2 0 6  69.03  16.5

Crystal structure
abc: 3.3324 3.3324 14.1418
angles: 90.00 90.00 90.00
Space group I4/mmm (No. 139)
One atom of each set of equivalent atoms:
Pu  0.0000  0.0000  0.0000 (multiplicity 2)
Zr  0.0000  0.0000  0.3299 (multiplicity 4)
N  0.0000  0.0000  0.1703 (multiplicity 4)
N  0.0000  0.0000  0.5000 (multiplicity 2)

# 5
For PuZr3N6, the PBE geometry in Alexandria gives the theoretical powder diffractogram in this record (λ = 1.5418 Å (Cu Kα)).

The 12 most intense peaks (2θ = 10–80°), sorted by position:
h k l  Position (°2θ)  I/Imax
1 0 1  19.20  26.7
0 1 2  21.93  37.1
1 0 4  30.60  100.0
1 1 0  31.80  97.7
0 0 6  36.91  21.3
0 2 4  44.71  39.9
1 1 6  49.52  32.7
0 1 8  53.62  12.4
2 1 4  55.90  39.6
3 0 0  56.66  27.8
2 2 0  66.46  16.1
4 -3 4  74.91  14.9

Crystal structure
abc: 5.6282 5.6282 14.6021
angles: 90.00 90.00 120.00
Space group R3 (No. 146, hexagonal axes)
One atom of each set of equivalent atoms:
Pu  0.0000  0.0000  0.0000 (multiplicity 3)
Zr  0.0000  0.0000  0.2165 (multiplicity 3)
Zr  0.0000  0.0000  0.4927 (multiplicity 3)
Zr  0.0000  0.0000  0.7106 (multiplicity 3)
N  0.0036  0.7107  0.0975 (multiplicity 9)
N  0.0091  0.3027  0.6000 (multiplicity 9)

# 6
For RbSr2Re2N6, the PBE geometry in Alexandria gives the theoretical powder diffractogram in this record (λ = 1.5418 Å (Cu Kα)).

The 12 most intense peaks (2θ = 10–80°), sorted by position:
h k l  Position (°2θ)  I/Imax
0 0 1  14.75  51.0
1 0 -1  15.91  100.0
0 1 -1  17.43  80.0
1 1 -1  24.39  35.7
1 0 -2  25.45  69.1
1 -2 0  26.04  56.2
-2 1 1  27.35  58.5
1 0 1  28.18  78.3
0 2 0  29.77  38.4
1 -2 1  30.06  54.2
0 2 1  37.33  38.5
0 0 3  45.30  46.7

Crystal structure
abc: 6.5459 6.9007 7.0378
angles: 93.85 116.39 114.08
Space group P-1 (No. 2)
One atom of each set of equivalent atoms:
Rb  0.0000  0.0000  0.0000 (multiplicity 1)
Sr  0.3924  0.2832  0.6741 (multiplicity 2)
Re  0.2144  0.6736  0.6737 (multiplicity 2)
N  0.1351  0.8936  0.6777 (multiplicity 2)
N  0.2673  0.5650  0.9056 (multiplicity 2)
N  0.4576  0.7088  0.6048 (multiplicity 2)

# 7
For Rb2SN6, the PBE geometry in Alexandria gives the theoretical powder diffractogram in this record (λ = 1.5418 Å (Cu Kα)).

The 12 most intense peaks (2θ = 10–80°), sorted by position:
h k l  Position (°2θ)  I/Imax
0 0 1  10.53  61.5
0 2 0  15.96  30.7
0 0 2  21.14  91.5
0 2 2  26.61  18.4
1 3 0  27.88  29.7
2 0 1  29.75  50.4
1 3 1  29.87  100.0
2 0 2  35.14  16.2
1 3 2  35.25  32.0
1 3 3  42.87  51.6
2 0 4  52.05  16.0
3 3 2  54.07  16.2

Crystal structure
abc: 6.4312 11.0700 8.4036
angles: 90.00 90.00 90.00
Space group Cmmm (No. 65)
One atom of each set of equivalent atoms:
Rb  0.0000  0.1674  0.0000 (multiplicity 4)
S  0.0000  0.5000  0.0000 (multiplicity 2)
N  0.0867  0.0000  0.5000 (multiplicity 4)
N  0.2061  0.2935  0.5000 (multiplicity 8)

# 8
For RbS8N2, the PBE geometry in Alexandria gives the theoretical powder diffractogram in this record (λ = 1.5418 Å (Cu Kα)).

The 12 most intense peaks (2θ = 10–80°), sorted by position:
h k l  Position (°2θ)  I/Imax
0 1 0  13.33  100.0
1 1 0  17.74  46.1
1 -1 0  19.99  69.1
-1 1 1  23.34  48.0
1 -1 1  23.65  50.0
1 1 -1  24.23  79.9
0 0 2  24.60  66.9
0 1 2  25.67  73.5
1 0 2  25.98  64.9
2 0 1  27.65  37.6
0 2 -1  31.67  37.2
3 0 1  40.63  44.6

Crystal structure
abc: 6.8064 6.8654 7.5208
angles: 77.51 78.66 81.07
Space group P-1 (No. 2)
One atom of each set of equivalent atoms:
Rb  0.0000  0.0000  0.0000 (multiplicity 1)
S  0.0934  0.7247  0.6026 (multiplicity 2)
S  0.1903  0.1895  0.4751 (multiplicity 2)
S  0.2756  0.9084  0.4026 (multiplicity 2)
S  0.4412  0.4356  0.8634 (multiplicity 2)
N  0.2889  0.2845  0.9390 (multiplicity 2)

# 9
For RbSN6, the PBE geometry in Alexandria gives the theoretical powder diffractogram in this record (λ = 1.5418 Å (Cu Kα)).

The 12 most intense peaks (2θ = 10–80°), sorted by position:
h k l  Position (°2θ)  I/Imax
0 2 0  18.67  99.4
1 1 0  20.53  100.0
1 1 -1  20.75  29.8
0 2 1  24.19  52.5
1 1 -2  30.30  50.8
1 3 0  33.78  50.1
0 2 2  36.22  42.5
2 0 -2  37.53  39.4
0 4 0  37.87  21.4
1 3 -2  40.70  46.6
2 2 0  41.76  46.1
1 1 2  43.25  43.0

Crystal structure
abc: 5.3048 9.5030 6.3493
angles: 90.00 113.66 90.00
Space group C2/m (No. 12)
One atom of each set of equivalent atoms:
Rb  0.0000  0.0000  0.0000 (multiplicity 2)
S  0.0000  0.0000  0.5000 (multiplicity 2)
N  0.0912  0.5000  0.1766 (multiplicity 4)
N  0.2222  0.3224  0.6798 (multiplicity 8)

# 10
For RbS3N, the PBE geometry in Alexandria gives the theoretical powder diffractogram in this record (λ = 1.5418 Å (Cu Kα)).

The 12 most intense peaks (2θ = 10–80°), sorted by position:
h k l  Position (°2θ)  I/Imax
1 0 -1  16.61  66.2
1 -1 0  17.05  22.9
0 1 1  18.21  100.0
1 -1 1  19.52  34.2
1 0 2  25.16  61.6
1 -1 2  25.64  21.0
2 -1 0  28.39  43.6
1 1 -2  28.70  34.4
2 0 -1  30.08  43.2
0 1 -3  30.86  39.0
1 -2 2  33.55  59.6
1 2 1  39.60  28.0

Crystal structure
abc: 6.4039 6.4265 9.4462
angles: 93.97 94.31 108.31
Space group P1 (No. 1)
One atom of each set of equivalent atoms:
Rb  0.0000  0.0000  0.0000 (multiplicity 1)
Rb  0.3584  0.6388  0.5005 (multiplicity 1)
S  0.0296  0.5252  0.1855 (multiplicity 1)
S  0.3013  0.4107  0.8106 (multiplicity 1)
S  0.4745  0.9705  0.8127 (multiplicity 1)
S  0.5324  0.2793  0.7583 (multiplicity 1)
S  0.5929  0.7046  0.1938 (multiplicity 1)
S  0.7210  0.4690  0.2414 (multiplicity 1)
N  0.0260  0.1192  0.4941 (multiplicity 1)
N  0.8844  0.9724  0.5110 (multiplicity 1)

# 11
For RbS2N4, the PBE geometry in Alexandria gives the theoretical powder diffractogram in this record (λ = 1.5418 Å (Cu Kα)).

The 12 most intense peaks (2θ = 10–80°), sorted by position:
h k l  Position (°2θ)  I/Imax
4 0 0  19.59  84.5
3 1 0  21.10  15.3
1 1 -1  29.02  100.0
1 1 1  30.01  55.1
3 1 -1  31.40  38.7
2 2 0  32.07  80.8
4 0 1  33.50  19.3
3 1 1  34.03  22.1
5 1 -1  36.49  18.2
7 1 0  37.98  24.5
9 1 0  47.74  16.6
1 3 -1  53.25  14.7

Crystal structure
abc: 18.2474 5.8675 3.6224
angles: 90.00 96.51 90.00
Space group C2/m (No. 12)
One atom of each set of equivalent atoms:
Rb  0.0000  0.0000  0.0000 (multiplicity 2)
S  0.0553  0.5000  0.5308 (multiplicity 4)
N  0.2231  0.2394  0.0569 (multiplicity 8)

# 12
For Rb2Sb4N3, the PBE geometry in Alexandria gives the theoretical powder diffractogram in this record (λ = 1.5418 Å (Cu Kα)).

The 12 most intense peaks (2θ = 10–80°), sorted by position:
h k l  Position (°2θ)  I/Imax
1 1 1  16.96  39.7
2 2 1  23.35  100.0
1 3 1  23.51  30.7
0 0 2  28.70  52.1
4 0 0  29.02  44.0
2 4 1  30.81  21.5
1 5 1  33.08  53.6
3 5 1  39.18  25.6
4 0 2  41.27  38.9
5 3 1  43.23  15.6
2 2 3  47.75  19.6
5 5 1  49.49  16.5

Crystal structure
abc: 12.3074 15.5101 6.2202
angles: 90.00 90.00 90.00
Space group Cccm (No. 66)
One atom of each set of equivalent atoms:
Rb  0.1514  0.1099  0.0000 (multiplicity 8)
Sb  0.1141  0.4532  0.5000 (multiplicity 8)
Sb  0.1394  0.2612  0.5000 (multiplicity 8)
N  0.0000  0.0000  0.2500 (multiplicity 4)
N  0.2003  0.5000  0.2500 (multiplicity 8)

# 13
For Rb7SeN12, the PBE geometry in Alexandria gives the theoretical powder diffractogram in this record (λ = 1.5418 Å (Cu Kα)).

The 12 most intense peaks (2θ = 10–80°), sorted by position:
h k l  Position (°2θ)  I/Imax
3 -1 1  21.96  49.0
1 2 2  30.71  93.4
4 1 0  31.78  100.0
2 4 1  38.96  13.6
6 -2 2  44.78  30.4
5 -4 3  49.68  21.3
8 -5 1  51.13  12.0
3 -1 4  53.90  12.7
5 3 2  55.95  29.3
3 6 0  56.62  16.2
7 0 4  73.19  9.8
10 -1 2  74.92  12.2

Crystal structure
abc: 14.8994 14.8994 7.2592
angles: 90.00 90.00 120.00
Space group R-3 (No. 148, hexagonal axes)
One atom of each set of equivalent atoms:
Rb  0.0000  0.0000  0.0000 (multiplicity 3)
Rb  0.0537  0.8162  0.6599 (multiplicity 18)
Se  0.0000  0.0000  0.5000 (multiplicity 3)
N  0.0422  0.7864  0.2312 (multiplicity 18)
N  0.0469  0.8060  0.0735 (multiplicity 18)